This entry pairs a crystal structure of Ca2Cu2Si3H4O12 with its theoretical X-ray diffraction stick pattern. Radiation: Cu Kα (weighted mean of Kα1 and Kα2). Structure: a PBE-relaxed structure.

Cell and atoms:
```
data_Ca2Cu2Si3H4O12
_chemical_formula_sum 'Ca4 Cu4 Si6 H8 O24'
_cell_length_a 5.5694
_cell_length_b 13.7108
_cell_length_c 7.4768
_cell_angle_alpha 90.00
_cell_angle_beta 97.14
_cell_angle_gamma 90.00
_symmetry_space_group_name_H-M 'P 1 21/m 1'
_symmetry_Int_Tables_number 11
_symmetry_space_group_name_Hall '-P 2yb'
loop_
_atom_site_label
_atom_site_type_symbol
_atom_site_fract_x
_atom_site_fract_y
_atom_site_fract_z
Ca1 Ca 0.0592 0.1160 0.3095
Cu1 Cu 0.2224 0.2500 0.9455
Cu2 Cu 0.2784 0.7500 0.0269
Si1 Si 0.4427 0.7500 0.5784
Si2 Si 0.4881 0.5876 0.2733
H1 H 0.0880 0.5967 0.0809
H2 H 0.1158 0.0682 0.7353
O1 O 0.0216 0.6520 0.0009
O2 O 0.2042 0.7500 0.6801
O3 O 0.2306 0.0388 0.6613
O4 O 0.2649 0.5149 0.2251
O5 O 0.2997 0.2500 0.2947
O6 O 0.4362 0.6523 0.4488
O7 O 0.4671 0.1548 0.9023
```

Top 10 peaks for 10° ≤ 2θ ≤ 90°, most intense first:
(0 2 0), 2θ = 12.9°, rel. 100
(0 2 2), 2θ = 27.3°, rel. 91
(0 2 1), 2θ = 17.6°, rel. 86
(2 4 0), 2θ = 42.0°, rel. 68
(0 1 2), 2θ = 24.9°, rel. 66
(1 3 -1), 2θ = 27.2°, rel. 55
(0 0 1), 2θ = 11.9°, rel. 34
(1 1 1), 2θ = 22.2°, rel. 30
(2 2 -1), 2θ = 35.7°, rel. 29
(1 1 -1), 2θ = 19.9°, rel. 28